No. 1
Diffraction record for LiB2O3. The powder XRD pattern is theoretical, not measured: it uses the PBE geometry in the Materials Project and Cu Kα X-rays.
Neutral-atom scattering factors, no anomalous dispersion.

Principal peaks in the range 5° ≤ 2θ ≤ 70°, most intense first:
- hkl 1 1 2, 17.3 deg, rel. 100.0
- hkl 2 1 3, 26.6 deg, rel. 60.3
- hkl 2 0 2, 19.8 deg, rel. 51.7
- hkl 3 1 0, 21.1 deg, rel. 43.5
- hkl 2 0 0, 13.3 deg, rel. 42.6
- hkl 3 1 2, 25.7 deg, rel. 31.5
- hkl 3 2 1, 25.2 deg, rel. 29.3
- hkl 4 2 2, 33.5 deg, rel. 17.7
- hkl 2 1 5, 40.0 deg, rel. 15.9
- hkl 5 2 1, 37.1 deg, rel. 12.6

```
data_LiB2O3
_chemical_formula_sum 'Li16 B32 O48'
_symmetry_space_group_name_H-M 'I 41 c d'
_symmetry_Int_Tables_number 110
_symmetry_space_group_name_Hall 'I 4bw -2c'
_cell_length_a 13.300
_cell_length_b 13.300
_cell_length_c 12.193
_cell_angle_alpha 90.00
_cell_angle_beta 90.00
_cell_angle_gamma 90.00
loop_
_atom_site_label
_atom_site_type_symbol
_atom_site_fract_x
_atom_site_fract_y
_atom_site_fract_z
Li1 Li 0.234 0.245 0.000
B1 B 0.074 0.360 0.448
B2 B 0.084 0.315 0.841
O1 O 0.019 0.365 0.918
O2 O 0.145 0.164 0.225
O3 O 0.163 0.264 0.867
```

---

No. 2
Diffraction record for Ca2Ni10H. The powder XRD pattern is theoretical, not measured: it uses the PBE geometry in the Materials Project and Cu Kα X-rays.
Neutral-atom scattering factors, no anomalous dispersion.

Principal peaks in the range 5° ≤ 2θ ≤ 70°, most intense first:
- hkl 1 1 2, 42.9 deg, rel. 100.0
- hkl 2 0 2, 48.0 deg, rel. 60.6
- hkl 1 0 0, 20.6 deg, rel. 49.2
- hkl 0 0 4, 45.9 deg, rel. 32.6
- hkl 2 0 0, 41.9 deg, rel. 28.3
- hkl 0 3 2, 69.5 deg, rel. 21.5
- hkl 1 1 0, 36.1 deg, rel. 17.6
- hkl 0 2 4, 63.8 deg, rel. 14.8
- hkl 1 0 2, 30.7 deg, rel. 8.9
- hkl 0 1 4, 50.8 deg, rel. 8.5

```
data_Ca2Ni10H
_chemical_formula_sum 'Ca2 Ni10 H1'
_symmetry_space_group_name_H-M 'P 3 m 1'
_symmetry_Int_Tables_number 156
_symmetry_space_group_name_Hall 'P 3 -2"'
_cell_length_a 4.9821
_cell_length_b 4.9821
_cell_length_c 7.9142
_cell_angle_alpha 90.00
_cell_angle_beta 90.00
_cell_angle_gamma 120.00
loop_
_atom_site_label
_atom_site_type_symbol
_atom_site_fract_x
_atom_site_fract_y
_atom_site_fract_z
Ca1 Ca 0.0000 0.0000 0.0000
Ca2 Ca 0.0000 0.0000 0.4984
Ni1 Ni 0.0020 0.5010 0.2524
Ni2 Ni 0.0144 0.5072 0.7457
Ni3 Ni 0.3333 0.6667 0.0035
Ni4 Ni 0.3333 0.6667 0.4966
Ni5 Ni 0.6667 0.3333 0.0121
Ni6 Ni 0.6667 0.3333 0.4991
H1 H 0.6667 0.3333 0.8102
```